Structure and theoretical PXRD pattern of Mg14VBiO16 (the GGA+U geometry in the Materials Project; Cu Kα, 1.54184 Å).
Lines closer than 0.1° are merged.

Crystal structure
a b c (Å): 8.7240 8.7240 4.4507
angles (deg): 90.00 90.00 90.00
Atoms (fractional coordinates):
Mg (0.0000, 0.2485, 0.0000)
Mg (0.0000, 0.5000, 0.5000)
Mg (0.0000, 0.7515, 0.0000)
Mg (0.2373, 0.5000, 0.0000)
Mg (0.2427, 0.2427, 0.5000)
Mg (0.2427, 0.7573, 0.5000)
Mg (0.2485, 0.0000, 0.0000)
Mg (0.5000, 0.0000, 0.5000)
Mg (0.5000, 0.2373, 0.0000)
Mg (0.5000, 0.7627, 0.0000)
Mg (0.7515, 0.0000, 0.0000)
Mg (0.7573, 0.2427, 0.5000)
Mg (0.7573, 0.7573, 0.5000)
Mg (0.7627, 0.5000, 0.0000)
V (0.0000, 0.0000, 0.5000)
Bi (0.5000, 0.5000, 0.5000)
O (0.0000, 0.0000, 0.0000)
O (0.0000, 0.2514, 0.5000)
O (0.0000, 0.5000, 0.0000)
O (0.0000, 0.7486, 0.5000)
O (0.2291, 0.5000, 0.5000)
O (0.2503, 0.2503, 0.0000)
O (0.2503, 0.7497, 0.0000)
O (0.2514, 0.0000, 0.5000)
O (0.5000, 0.0000, 0.0000)
O (0.5000, 0.2291, 0.5000)
O (0.5000, 0.5000, 0.0000)
O (0.5000, 0.7709, 0.5000)
O (0.7486, 0.0000, 0.5000)
O (0.7497, 0.2503, 0.0000)
O (0.7497, 0.7497, 0.0000)
O (0.7709, 0.5000, 0.5000)

Main lines, by intensity (2θ = 15–90°):
| d/Å | I/Imax |
| --- | --- |
| 2.181 | 100 |
| 1.558 | 62 |
| 2.225 | 54 |
| 2.535 | 52 |
| 3.609 | 43 |
| 4.362 | 35 |
| 2.934 | 32 |
| 3.115 | 31 |
| 1.542 | 29 |
| 3.965 | 29 |

Structure and theoretical PXRD pattern of Li2Co4OF8 (the GGA+U geometry in the Materials Project; Cu Kα, 1.54184 Å).
Lines closer than 0.1° are merged.

Crystal structure
a b c (Å): 5.2657 5.2657 14.1532
angles (deg): 90.75 90.75 58.77
Atoms (fractional coordinates):
Li (0.0042, 0.9958, 0.5000)
Li (0.0101, 0.9784, 0.7950)
Li (0.9784, 0.0101, 0.2950)
Li (0.9958, 0.0042, 0.0000)
Co (0.3134, 0.3467, 0.8332)
Co (0.3274, 0.3497, 0.6372)
Co (0.3467, 0.3134, 0.3332)
Co (0.3497, 0.3274, 0.1372)
Co (0.6542, 0.6983, 0.1789)
Co (0.6652, 0.6716, 0.9665)
Co (0.6716, 0.6652, 0.4665)
Co (0.6983, 0.6542, 0.6789)
O (0.0496, 0.6193, 0.7336)
O (0.6193, 0.0496, 0.2336)
F (0.0111, 0.3402, 0.2376)
F (0.0112, 0.6751, 0.4039)
F (0.3063, 0.6926, 0.9046)
F (0.3074, 0.9954, 0.4048)
F (0.3194, 0.6609, 0.2345)
F (0.3402, 0.0111, 0.7376)
F (0.3529, 0.9790, 0.0637)
F (0.3769, 0.6684, 0.5690)
F (0.6609, 0.3194, 0.7345)
F (0.6629, 0.9797, 0.5683)
F (0.6684, 0.3769, 0.0690)
F (0.6751, 0.0112, 0.9039)
F (0.6926, 0.3063, 0.4046)
F (0.9790, 0.3529, 0.5637)
F (0.9797, 0.6629, 0.0683)
F (0.9954, 0.3074, 0.9048)

Main lines, by intensity (2θ = 15–90°):
| d/Å | I/Imax |
| --- | --- |
| 4.503 | 100 |
| 2.792 | 91 |
| 2.632 | 62 |
| 4.588 | 58 |
| 1.501 | 46 |
| 2.781 | 45 |
| 3.786 | 44 |
| 1.529 | 43 |
| 1.768 | 42 |
| 1.742 | 41 |

Structure and theoretical PXRD pattern of V4O3F9 (the GGA+U geometry in the Materials Project; Cu Kα, 1.54184 Å).
Lines closer than 0.1° are merged.

Crystal structure
a b c (Å): 5.4927 5.2878 7.2050
angles (deg): 90.00 92.79 90.00
Atoms (fractional coordinates):
V (0.0002, 0.0000, 0.2400)
V (0.9998, 0.0000, 0.7600)
V (0.4999, 0.4961, 0.2505)
V (0.5001, 0.4961, 0.7495)
O (0.0000, 0.0826, 0.0000)
O (0.5000, 0.4232, 0.0000)
O (0.5000, 0.5669, 0.5000)
F (0.0000, 0.8956, 0.5000)
F (0.1965, 0.6932, 0.2037)
F (0.1970, 0.2963, 0.6980)
F (0.3040, 0.1932, 0.3003)
F (0.3050, 0.7981, 0.7950)
F (0.6950, 0.7981, 0.2050)
F (0.6960, 0.1932, 0.6997)
F (0.8030, 0.2963, 0.3020)
F (0.8035, 0.6932, 0.7963)

Main lines, by intensity (2θ = 15–90°):
| d/Å | I/Imax |
| --- | --- |
| 3.807 | 100 |
| 3.598 | 48 |
| 1.904 | 22 |
| 2.276 | 18 |
| 2.660 | 14 |
| 1.728 | 13 |
| 1.707 | 12 |
| 1.648 | 10 |
| 1.218 | 9 |
| 1.799 | 8 |

Structure and theoretical PXRD pattern of Sr2FeSnO6 (the GGA+U geometry in the Materials Project; Cu Kα, 1.54184 Å).
Lines closer than 0.1° are merged.

Crystal structure
a b c (Å): 4.0333 4.0333 7.9954
angles (deg): 90.00 90.00 90.00
Atoms (fractional coordinates):
Sr (0.0000, 0.0000, 0.2346)
Sr (0.0000, 0.0000, 0.7654)
Fe (0.5000, 0.5000, 0.0000)
Sn (0.5000, 0.5000, 0.5000)
O (0.0000, 0.5000, 0.0000)
O (0.0000, 0.5000, 0.5000)
O (0.5000, 0.0000, 0.0000)
O (0.5000, 0.0000, 0.5000)
O (0.5000, 0.5000, 0.2399)
O (0.5000, 0.5000, 0.7601)

Main lines, by intensity (2θ = 15–90°):
| d/Å | I/Imax |
| --- | --- |
| 2.839 | 100 |
| 2.852 | 52 |
| 1.644 | 40 |
| 2.017 | 37 |
| 1.420 | 20 |
| 1.637 | 19 |
| 1.275 | 18 |
| 1.999 | 17 |
| 1.426 | 11 |
| 1.161 | 10 |